1.
# Pr2SmScSb4
Theoretical X-ray powder pattern, Cu Kα X-rays. Input: a cell relaxed with PBE.
Peak positions follow from Bragg's law for the DFT cell and can differ from measured ones.

Top 10 peaks for 2θ from 15° to 90°, in order of rising 2θ:
- hkl 1 1 1, 3.143 Å, intensity 100
- hkl 0 2 0, 2.223 Å, intensity 63
- hkl 2 0 2, 2.219 Å, intensity 12
- hkl 2 2 -2, 1.816 Å, intensity 20
- hkl 4 0 0, 1.811 Å, intensity 6
- hkl 2 2 2, 1.571 Å, intensity 12
- hkl 1 3 1, 1.407 Å, intensity 17
- hkl 4 2 0, 1.405 Å, intensity 16
- hkl 1 3 -3, 1.284 Å, intensity 15
- hkl 1 1 5, 1.282 Å, intensity 6

Crystal structure
Cell: 7.688 4.452 7.700 Å, 90.00 109.54 90.00°
Space group P2/m (No. 10)
Symmetry-distinct sites (fractional):
Pr 0.000 0.000 0.000 (multiplicity 1)
Pr 0.000 0.500 0.500 (multiplicity 1)
Sm 0.500 0.000 0.500 (multiplicity 1)
Sc 0.500 0.500 0.000 (multiplicity 1)
Sb 0.262 0.500 0.245 (multiplicity 2)
Sb 0.269 0.000 0.765 (multiplicity 2)

2.
# Pu3Zr3Pa
Theoretical X-ray powder pattern, Cu Kα X-rays. Input: a cell relaxed with PBE.
Peak positions follow from Bragg's law for the DFT cell and can differ from measured ones.

Top 10 peaks for 2θ from 15° to 90°, in order of rising 2θ:
- hkl 0 0 2, 5.779 Å, intensity 49
- hkl 0 2 3, 2.988 Å, intensity 52
- hkl 1 1 -4, 2.688 Å, intensity 35
- hkl 1 3 1, 2.680 Å, intensity 35
- hkl 2 2 -1, 2.591 Å, intensity 59
- hkl 2 0 2, 2.536 Å, intensity 82
- hkl 2 2 -2, 2.486 Å, intensity 72
- hkl 0 2 4, 2.466 Å, intensity 100
- hkl 0 4 0, 2.368 Å, intensity 33
- hkl 2 2 6, 1.446 Å, intensity 29

Crystal structure
Cell: 6.222 9.470 11.727 Å, 90.00 99.76 90.00°
Space group C2/m (No. 12)
Symmetry-distinct sites (fractional):
Pu 0.181 0.000 0.340 (multiplicity 4)
Pu 0.199 0.203 0.772 (multiplicity 8)
Zr 0.000 0.192 0.000 (multiplicity 4)
Zr 0.000 0.224 0.500 (multiplicity 4)
Zr 0.102 0.500 0.894 (multiplicity 4)
Pa 0.140 0.500 0.375 (multiplicity 4)

3.
# Sr3ZnCd8
Theoretical X-ray powder pattern, Cu Kα X-rays. Input: a cell relaxed with PBE.
Peak positions follow from Bragg's law for the DFT cell and can differ from measured ones.

Top 10 peaks for 2θ from 15° to 90°, in order of rising 2θ:
- hkl 0 1 2, 5.005 Å, intensity 19
- hkl 1 1 0, 3.065 Å, intensity 17
- hkl 1 1 6, 2.614 Å, intensity 100
- hkl 0 0 12, 2.503 Å, intensity 53
- hkl 2 0 8, 2.167 Å, intensity 12
- hkl 0 3 6, 1.668 Å, intensity 31
- hkl 2 2 0, 1.533 Å, intensity 28
- hkl 0 4 2, 1.322 Å, intensity 10
- hkl 2 2 12, 1.307 Å, intensity 19
- hkl 4 1 6, 1.129 Å, intensity 18

Crystal structure
Cell: 6.1287 6.1287 30.0482 Å, 90.00 90.00 120.00°
Space group R3m (No. 160, hexagonal axes)
Symmetry-distinct sites (fractional):
Sr 0.0000 0.0000 0.0000 (multiplicity 3)
Sr 0.0000 0.0000 0.1284 (multiplicity 3)
Sr 0.0000 0.0000 0.6145 (multiplicity 3)
Zn 0.0000 0.0000 0.4841 (multiplicity 3)
Cd 0.0000 0.0000 0.3112 (multiplicity 3)
Cd 0.0000 0.0000 0.8117 (multiplicity 3)
Cd 0.0003 0.5002 0.5604 (multiplicity 9)
Cd 0.1676 0.3352 0.3949 (multiplicity 9)

4.
# PrGePt3
Theoretical X-ray powder pattern, Cu Kα X-rays. Input: a cell relaxed with PBE.
Peak positions follow from Bragg's law for the DFT cell and can differ from measured ones.

Top 10 peaks for 2θ from 15° to 90°, in order of rising 2θ:
- hkl 0 2 1, 2.904 Å, intensity 91
- hkl 2 0 0, 2.882 Å, intensity 30
- hkl 2 1 0, 2.664 Å, intensity 37
- hkl 0 0 2, 2.626 Å, intensity 100
- hkl 1 2 1, 2.594 Å, intensity 34
- hkl 2 1 1, 2.376 Å, intensity 55
- hkl 2 2 0, 2.221 Å, intensity 35
- hkl 1 3 0, 2.155 Å, intensity 27
- hkl 2 2 2, 1.696 Å, intensity 31
- hkl 1 3 2, 1.666 Å, intensity 30

Crystal structure
Cell: 5.764 6.971 5.253 Å, 90.00 90.00 90.00°
Space group Pbam (No. 55)
Symmetry-distinct sites (fractional):
Pr 0.000 0.000 0.000 (multiplicity 2)
Ge 0.000 0.500 0.500 (multiplicity 2)
Pt 0.000 0.500 0.000 (multiplicity 2)
Pt 0.130 0.171 0.500 (multiplicity 4)